1.
This entry pairs a crystal structure of CaSeO4 with its calculated X-ray powder pattern. Radiation: copper Kα. Structure: DFT lattice parameters and positions (GGA-PBE).

The 10 most intense peaks (2θ from 15° to 90°), by angle:
d (Å)  I (rel.)
4.603  133
3.667  1000
2.923  116
2.900  337
2.593  138
2.532  228
2.084  166
1.931  150
1.810  126
1.479  124

Structure:
```
data_CaSeO4
_chemical_formula_sum 'Ca4 Se4 O16'
_cell_length_a 8.2056
_cell_length_b 8.2056
_cell_length_c 6.4662
_cell_angle_alpha 90.00
_cell_angle_beta 90.00
_cell_angle_gamma 126.98
_space_group_name_H-M_alt 'P 1'
_space_group_IT_number 1
_space_group_name_Hall 'P 1'
loop_
_atom_site_label
_atom_site_type_symbol
_atom_site_fract_x
_atom_site_fract_y
_atom_site_fract_z
Ca1 Ca 0.1247 0.8753 0.8804
Ca2 Ca 0.3753 0.6247 0.3804
Ca3 Ca 0.6247 0.3753 0.6196
Ca4 Ca 0.8753 0.1247 0.1196
Se1 Se 0.1238 0.8762 0.3852
Se2 Se 0.3762 0.6238 0.8852
Se3 Se 0.6238 0.3762 0.1148
Se4 Se 0.8762 0.1238 0.6148
O1 O 0.0405 0.9595 0.2087
O2 O 0.0588 0.2971 0.4528
O3 O 0.2029 0.4412 0.0472
O4 O 0.2192 0.7808 0.2439
O5 O 0.2808 0.7192 0.7439
O6 O 0.2971 0.0588 0.5472
O7 O 0.4412 0.2029 0.9528
O8 O 0.4595 0.5405 0.7087
O9 O 0.5405 0.4595 0.2913
O10 O 0.5588 0.7971 0.0472
O11 O 0.7029 0.9412 0.4528
O12 O 0.7192 0.2808 0.2561
O13 O 0.7808 0.2192 0.7561
O14 O 0.7971 0.5588 0.9528
O15 O 0.9412 0.7029 0.5472
O16 O 0.9595 0.0405 0.7913
```

2.
This entry pairs a crystal structure of Ca2SnSe2O2 with its calculated X-ray powder pattern. Radiation: copper Kα. Structure: DFT lattice parameters and positions (GGA-PBE).

The 10 most intense peaks (2θ from 15° to 90°), by angle:
d (Å)  I (rel.)
5.656  287
5.139  431
2.995  629
2.880  1000
2.574  614
2.502  717
2.364  226
1.923  246
1.619  214
1.540  245

Structure:
```
data_Ca2SnSe2O2
_chemical_formula_sum 'Ca2 Sn1 Se2 O2'
_cell_length_a 6.3343
_cell_length_b 6.3343
_cell_length_c 7.1727
_cell_angle_alpha 119.98
_cell_angle_beta 119.98
_cell_angle_gamma 35.35
_space_group_name_H-M_alt 'P 1'
_space_group_IT_number 1
_space_group_name_Hall 'P 1'
loop_
_atom_site_label
_atom_site_type_symbol
_atom_site_fract_x
_atom_site_fract_y
_atom_site_fract_z
Ca1 Ca 0.1979 0.1979 0.2599
Ca2 Ca 0.8021 0.8021 0.7401
Sn1 Sn 0.0000 0.0000 0.5000
Se1 Se 0.4408 0.4408 0.1859
Se2 Se 0.5592 0.5592 0.8141
O1 O 0.1893 0.1893 0.5782
O2 O 0.8107 0.8107 0.4218
```

3.
This entry pairs a crystal structure of SrCaSeO6 with its calculated X-ray powder pattern. Radiation: copper Kα. Structure: DFT lattice parameters and positions (GGA-PBE).

The 10 most intense peaks (2θ from 15° to 90°), by angle:
d (Å)  I (rel.)
5.106  83
4.846  155
3.515  1000
2.798  315
2.189  235
1.886  389
1.724  240
1.615  129
1.300  98
1.247  94

Structure:
```
data_SrCaSeO6
_chemical_formula_sum 'Sr1 Ca1 Se1 O6'
_cell_length_a 5.5953
_cell_length_b 5.5953
_cell_length_c 5.1057
_cell_angle_alpha 90.00
_cell_angle_beta 90.00
_cell_angle_gamma 120.00
_space_group_name_H-M_alt 'P 1'
_space_group_IT_number 1
_space_group_name_Hall 'P 1'
loop_
_atom_site_label
_atom_site_type_symbol
_atom_site_fract_x
_atom_site_fract_y
_atom_site_fract_z
Sr1 Sr 0.0000 0.0000 0.0000
Ca1 Ca 0.3333 0.6667 0.5000
Se1 Se 0.6667 0.3333 0.5000
O1 O 0.3952 0.0723 0.6996
O2 O 0.3952 0.3229 0.3004
O3 O 0.6771 0.0723 0.3004
O4 O 0.6771 0.6048 0.6996
O5 O 0.9277 0.3229 0.6996
O6 O 0.9277 0.6048 0.3004
```

4.
This entry pairs a crystal structure of CaTlSeO5 with its calculated X-ray powder pattern. Radiation: copper Kα. Structure: DFT lattice parameters and positions (GGA-PBE).

The 10 most intense peaks (2θ from 15° to 90°), by angle:
d (Å)  I (rel.)
5.521  971
3.463  1000
3.391  835
2.872  900
2.764  801
2.619  358
2.537  292
2.323  363
1.858  419
1.840  285

Structure:
```
data_CaTlSeO5
_chemical_formula_sum 'Ca2 Tl2 Se2 O10'
_cell_length_a 6.0409
_cell_length_b 6.0409
_cell_length_c 7.4713
_cell_angle_alpha 104.83
_cell_angle_beta 104.83
_cell_angle_gamma 103.82
_space_group_name_H-M_alt 'P 1'
_space_group_IT_number 1
_space_group_name_Hall 'P 1'
loop_
_atom_site_label
_atom_site_type_symbol
_atom_site_fract_x
_atom_site_fract_y
_atom_site_fract_z
Ca1 Ca 0.1698 0.8302 0.7500
Ca2 Ca 0.8302 0.1698 0.2500
Tl1 Tl 0.5000 0.5000 0.0000
Tl2 Tl 0.5000 0.5000 0.5000
Se1 Se 0.1861 0.8139 0.2500
Se2 Se 0.8139 0.1861 0.7500
O1 O 0.0867 0.2227 0.9200
O2 O 0.1256 0.6029 0.3923
O3 O 0.2227 0.0867 0.4200
O4 O 0.3971 0.8744 0.1077
O5 O 0.4098 0.5902 0.7500
O6 O 0.5902 0.4098 0.2500
O7 O 0.6029 0.1256 0.8923
O8 O 0.7773 0.9133 0.5800
O9 O 0.8744 0.3971 0.6077
O10 O 0.9133 0.7773 0.0800
```

5.
This entry pairs a crystal structure of CaTlSe2O8 with its calculated X-ray powder pattern. Radiation: copper Kα. Structure: DFT lattice parameters and positions (GGA-PBE).

The 10 most intense peaks (2θ from 15° to 90°), by angle:
d (Å)  I (rel.)
4.454  215
3.553  1000
2.622  424
2.479  256
2.416  333
2.110  218
1.644  203
1.539  197
1.514  128
1.471  135

Structure:
```
data_CaTlSe2O8
_chemical_formula_sum 'Ca1 Tl1 Se2 O8'
_cell_length_a 8.1873
_cell_length_b 8.1873
_cell_length_c 8.1873
_cell_angle_alpha 37.36
_cell_angle_beta 37.36
_cell_angle_gamma 37.36
_space_group_name_H-M_alt 'P 1'
_space_group_IT_number 1
_space_group_name_Hall 'P 1'
loop_
_atom_site_label
_atom_site_type_symbol
_atom_site_fract_x
_atom_site_fract_y
_atom_site_fract_z
Ca1 Ca 0.0000 0.0000 0.0000
Tl1 Tl 0.5000 0.5000 0.5000
Se1 Se 0.2470 0.2470 0.2470
Se2 Se 0.7530 0.7530 0.7530
O1 O 0.0423 0.4365 0.7112
O2 O 0.1731 0.1731 0.1731
O3 O 0.2888 0.9577 0.5635
O4 O 0.4365 0.7112 0.0423
O5 O 0.5635 0.2888 0.9577
O6 O 0.7112 0.0423 0.4365
O7 O 0.8269 0.8269 0.8269
O8 O 0.9577 0.5635 0.2888
```